[1]
Calculated powder diffractogram
Compound: PrCo2AsP
Radiation: Cu Ka
Structure: a crystal structure in OQMD, relaxed with GGA-PBE
Peak positions follow from Bragg's law for the DFT cell and can differ from measured ones.

Atomic structure:
a b c (Å): 5.8349 5.8349 5.8349
angles (deg): 140.16 140.16 57.61
Atoms (fractional coordinates):
Pr  0.0000  0.0000  0.0000
Co  0.2594  0.7594  0.5000
Co  0.7594  0.2594  0.5000
As  0.6331  0.6331  0.0000
P  0.3595  0.3595  0.0000

Main lines, by intensity (2θ from 5° to 70°):
2theta	Rel. int.
36.5	100
34.7	93
45.6	54
58.5	40
24.0	26
63.9	24

***

[2]
Calculated powder diffractogram
Compound: RbCo2AsP
Radiation: Cu Ka
Structure: a crystal structure in OQMD, relaxed with GGA-PBE
Peak positions follow from Bragg's law for the DFT cell and can differ from measured ones.

Atomic structure:
a b c (Å): 7.4696 7.4696 7.4696
angles (deg): 151.10 151.10 41.33
Atoms (fractional coordinates):
Rb  0.0000  0.0000  0.0000
Co  0.2603  0.7603  0.5000
Co  0.7603  0.2603  0.5000
As  0.6615  0.6615  0.0000
P  0.3419  0.3419  0.0000

Main lines, by intensity (2θ from 5° to 70°):
2theta	Rel. int.
30.7	100
52.4	59
36.4	50
12.7	44
48.9	35
58.8	30

***

[3]
Calculated powder diffractogram
Compound: CoAsPd
Radiation: Cu Ka
Structure: a crystal structure in OQMD, relaxed with GGA-PBE
Peak positions follow from Bragg's law for the DFT cell and can differ from measured ones.

Atomic structure:
a b c (Å): 3.7074 3.7074 6.1086
angles (deg): 90.00 90.00 90.00
Atoms (fractional coordinates):
Co  0.2500  0.7500  0.0000
Co  0.7500  0.2500  0.0000
As  0.2500  0.2500  0.2307
As  0.7500  0.7500  0.7693
Pd  0.2500  0.2500  0.6349
Pd  0.7500  0.7500  0.3651

Main lines, by intensity (2θ from 5° to 70°):
2theta	Rel. int.
37.3	100
38.2	96
49.2	88
45.6	82
34.2	63
51.2	46

***

[4]
Calculated powder diffractogram
Compound: ScCoAsPt
Radiation: Cu Ka
Structure: a crystal structure in OQMD, relaxed with GGA-PBE
Peak positions follow from Bragg's law for the DFT cell and can differ from measured ones.

Atomic structure:
a b c (Å): 4.4752 4.4752 4.4752
angles (deg): 60.00 60.00 60.00
Atoms (fractional coordinates):
Sc  0.0000  0.0000  0.0000
Co  0.5000  0.5000  0.5000
As  0.2500  0.2500  0.2500
Pt  0.7500  0.7500  0.7500

Main lines, by intensity (2θ from 5° to 70°):
2theta	Rel. int.
40.3	100
28.2	24
24.4	23
58.3	17
47.7	12
66.0	10